Diffraction record for W3O10. The powder XRD pattern is simulated, not measured: it uses DFT lattice parameters and positions (GGA+U) and Cu Ka.
Peak positions follow from Bragg's law for the DFT cell and can differ from measured ones.

Peak list (10 most intense, 10 to 80 degrees two-theta, in order of rising 2θ)
d [Å]  2θ/deg  intensity
6.470  13.69  21
5.015  17.68  23
4.953  17.91  24
3.897  22.82  48
3.376  26.40  10
3.239  27.54  100
2.508  35.81  16
2.476  36.28  16
1.871  48.67  17
1.621  56.81  11

Atomic structure:
abc: 5.4040 5.4070 7.4695
angles: 68.87 68.90 87.71
Sites, in units of the cell vectors:
W: 0.0000 0.0000 0.0000
W: 0.0697 0.5691 0.4962
W: 0.5701 0.0684 0.4966
O: 0.1138 0.7561 0.2108
O: 0.3025 0.8090 0.4980
O: 0.3143 0.3105 0.9147
O: 0.3381 0.9779 0.7844
O: 0.3449 0.3441 0.4228
O: 0.7576 0.1144 0.2108
O: 0.7693 0.7685 0.5675
O: 0.7899 0.7914 0.9736
O: 0.8091 0.3012 0.4992
O: 0.9798 0.3387 0.7843



Diffraction record for WO3. The powder XRD pattern is simulated, not measured: it uses DFT lattice parameters and positions (GGA+U) and Cu Ka.
Peak positions follow from Bragg's law for the DFT cell and can differ from measured ones.

Peak list (10 most intense, 10 to 80 degrees two-theta, in order of rising 2θ)
d [Å]  2θ/deg  intensity
3.870  22.98  49
3.845  23.13  100
2.727  32.84  68
2.713  33.02  13
1.923  47.28  19
1.728  52.98  18
1.722  53.18  30
1.574  58.66  11
1.569  58.85  11
1.364  68.86  13

Atomic structure:
abc: 5.4260 5.4504 7.7400
angles: 90.00 90.00 90.00
Sites, in units of the cell vectors:
W: 0.2385 0.0004 0.0169
W: 0.2615 0.9996 0.5169
W: 0.7385 0.4996 0.9831
W: 0.7615 0.5004 0.4831
O: 0.0071 0.2594 0.0186
O: 0.0088 0.2564 0.4814
O: 0.2134 0.0011 0.7534
O: 0.2866 0.9989 0.2534
O: 0.4912 0.7436 0.9814
O: 0.4929 0.7406 0.5186
O: 0.5071 0.2406 0.9814
O: 0.5088 0.2436 0.5186
O: 0.7134 0.4989 0.2466
O: 0.7866 0.5011 0.7466
O: 0.9912 0.7564 0.0186
O: 0.9929 0.7594 0.4814



Diffraction record for W3O7. The powder XRD pattern is simulated, not measured: it uses DFT lattice parameters and positions (GGA+U) and Cu Ka.
Peak positions follow from Bragg's law for the DFT cell and can differ from measured ones.

Peak list (10 most intense, 10 to 80 degrees two-theta, in order of rising 2θ)
d [Å]  2θ/deg  intensity
5.799  15.28  30
5.589  15.86  34
3.852  23.09  100
3.306  26.97  58
3.189  27.98  57
2.900  30.84  31
2.509  35.79  33
2.456  36.58  37
2.145  42.12  42
1.874  48.57  44

Atomic structure:
abc: 6.3784 11.5987 3.8518
angles: 90.00 90.00 90.00
Sites, in units of the cell vectors:
W: 0.2500 0.0238 0.0009
W: 0.2500 0.4762 0.0009
W: 0.2500 0.7500 0.9991
W: 0.7500 0.2500 0.0009
W: 0.7500 0.5238 0.9991
W: 0.7500 0.9762 0.9991
O: 0.0429 0.6129 0.9997
O: 0.0429 0.8871 0.9997
O: 0.2500 0.0413 0.5006
O: 0.2500 0.4587 0.5006
O: 0.2500 0.7500 0.4993
O: 0.4571 0.6129 0.9997
O: 0.4571 0.8871 0.9997
O: 0.5429 0.1129 0.0003
O: 0.5429 0.3871 0.0003
O: 0.7500 0.2500 0.5007
O: 0.7500 0.5413 0.4994
O: 0.7500 0.9587 0.4994
O: 0.9571 0.1129 0.0003
O: 0.9571 0.3871 0.0003



Diffraction record for W5O7. The powder XRD pattern is simulated, not measured: it uses DFT lattice parameters and positions (GGA+U) and Cu Ka.
Peak positions follow from Bragg's law for the DFT cell and can differ from measured ones.

Peak list (10 most intense, 10 to 80 degrees two-theta, in order of rising 2θ)
d [Å]  2θ/deg  intensity
8.509  10.40  95
2.980  29.99  91
2.773  32.28  35
2.561  35.03  100
2.546  35.25  63
2.510  35.77  35
2.432  36.96  42
2.317  38.87  51
2.180  41.43  33
1.386  67.56  31

Atomic structure:
abc: 6.1853 6.1853 17.0183
angles: 90.00 90.00 149.08
Sites, in units of the cell vectors:
W: 0.0000 0.0000 0.0000
W: 0.0000 0.0000 0.5000
W: 0.2692 0.7308 0.5841
W: 0.2692 0.7308 0.9159
W: 0.4673 0.5327 0.1491
W: 0.4673 0.5327 0.3509
W: 0.5327 0.4673 0.6491
W: 0.5327 0.4673 0.8509
W: 0.7308 0.2692 0.0841
W: 0.7308 0.2692 0.4159
O: 0.1080 0.8920 0.1044
O: 0.1080 0.8920 0.3956
O: 0.1370 0.8630 0.6672
O: 0.1370 0.8630 0.8328
O: 0.3375 0.6625 0.0393
O: 0.3375 0.6625 0.4607
O: 0.4468 0.5532 0.7500
O: 0.5532 0.4468 0.2500
O: 0.6625 0.3375 0.5393
O: 0.6625 0.3375 0.9607
O: 0.8630 0.1370 0.1672
O: 0.8630 0.1370 0.3328
O: 0.8920 0.1080 0.6044
O: 0.8920 0.1080 0.8956



Diffraction record for WO5. The powder XRD pattern is simulated, not measured: it uses DFT lattice parameters and positions (GGA+U) and Cu Ka.
Peak positions follow from Bragg's law for the DFT cell and can differ from measured ones.

Peak list (10 most intense, 10 to 80 degrees two-theta, in order of rising 2θ)
d [Å]  2θ/deg  intensity
5.637  15.72  75
4.675  18.98  32
3.902  22.79  65
3.563  24.99  71
3.527  25.25  49
3.362  26.51  100
2.963  30.16  59
2.452  36.65  34
2.344  38.40  50
2.252  40.03  39

Atomic structure:
abc: 9.8617 3.8247 11.3334
angles: 90.00 95.83 90.00
Sites, in units of the cell vectors:
W: 0.1199 0.0000 0.0799
W: 0.3800 0.0019 0.9203
W: 0.6200 0.5019 0.0797
W: 0.8801 0.5000 0.9201
O: 0.0681 0.9986 0.2208
O: 0.0771 0.5000 0.0354
O: 0.1246 0.7639 0.5142
O: 0.1443 0.8401 0.6202
O: 0.1968 0.0012 0.8918
O: 0.3031 0.0007 0.1085
O: 0.3472 0.2338 0.3844
O: 0.3749 0.3035 0.4903
O: 0.4229 0.5019 0.9648
O: 0.4317 0.0031 0.7794
O: 0.5683 0.5031 0.2206
O: 0.5771 0.0019 0.0352
O: 0.6251 0.8035 0.5097
O: 0.6528 0.7338 0.6156
O: 0.6969 0.5007 0.8915
O: 0.8032 0.5012 0.1082
O: 0.8557 0.3401 0.3798
O: 0.8754 0.2639 0.4858
O: 0.9229 0.0000 0.9646
O: 0.9319 0.4986 0.7792



Diffraction record for W2O5. The powder XRD pattern is simulated, not measured: it uses DFT lattice parameters and positions (GGA+U) and Cu Ka.
Peak positions follow from Bragg's law for the DFT cell and can differ from measured ones.

Peak list (10 most intense, 10 to 80 degrees two-theta, in order of rising 2θ)
d [Å]  2θ/deg  intensity
6.441  13.75  24
3.859  23.05  100
3.220  27.70  22
2.941  30.39  43
2.728  32.83  24
2.474  36.32  15
2.340  38.47  30
2.019  44.90  13
1.789  51.05  13
1.615  57.04  15

Atomic structure:
abc: 4.0376 12.8815 3.8630
angles: 90.00 90.00 90.00
Sites, in units of the cell vectors:
W: 0.0014 0.1509 0.0000
W: 0.4986 0.6509 0.0000
W: 0.5014 0.3491 0.0000
W: 0.9986 0.8491 0.0000
O: 0.0000 0.0000 0.0267
O: 0.0018 0.1544 0.5021
O: 0.0016 0.3163 0.9943
O: 0.4982 0.6544 0.5021
O: 0.4984 0.8163 0.9943
O: 0.5000 0.5000 0.0267
O: 0.5016 0.1837 0.9943
O: 0.5018 0.3456 0.5021
O: 0.9984 0.6837 0.9943
O: 0.9982 0.8456 0.5021



Diffraction record for WO3. The powder XRD pattern is simulated, not measured: it uses DFT lattice parameters and positions (GGA+U) and Cu Ka.
Peak positions follow from Bragg's law for the DFT cell and can differ from measured ones.

Peak list (10 most intense, 10 to 80 degrees two-theta, in order of rising 2θ)
d [Å]  2θ/deg  intensity
5.516  16.07  28
3.900  22.80  100
3.421  26.05  29
2.992  29.87  25
2.758  32.46  36
2.572  34.89  18
2.374  37.90  17
1.950  46.57  21
1.744  52.46  38
1.592  57.91  23

Atomic structure:
abc: 12.3350 12.3350 3.8997
angles: 90.00 90.00 90.00
Sites, in units of the cell vectors:
W: 0.0000 0.5000 0.0456
W: 0.0770 0.7930 0.9655
W: 0.2070 0.0770 0.0345
W: 0.2930 0.5770 0.9655
W: 0.4230 0.2930 0.0345
W: 0.5000 0.0000 0.9544
W: 0.5770 0.7070 0.0345
W: 0.7070 0.4230 0.9655
W: 0.7930 0.9230 0.0345
W: 0.9230 0.2070 0.9655
O: 0.0000 0.5000 0.5152
O: 0.0032 0.6555 0.0043
O: 0.0675 0.1426 0.9976
O: 0.0775 0.7935 0.4928
O: 0.1426 0.9325 0.0024
O: 0.1555 0.5032 0.0043
O: 0.2065 0.0775 0.5072
O: 0.2125 0.7125 0.9925
O: 0.2875 0.2125 0.0075
O: 0.2935 0.5775 0.4928
O: 0.3445 0.0032 0.9957
O: 0.3574 0.4325 0.9976
O: 0.4225 0.2935 0.5072
O: 0.4325 0.6426 0.0024
O: 0.4968 0.1555 0.9957
O: 0.5000 0.0000 0.4848
O: 0.5032 0.8445 0.9957
O: 0.5675 0.3574 0.0024
O: 0.5775 0.7065 0.5072
O: 0.6426 0.5675 0.9976
O: 0.6555 0.9968 0.9957
O: 0.7065 0.4225 0.4928
O: 0.7125 0.7875 0.0075
O: 0.7875 0.2875 0.9925
O: 0.7935 0.9225 0.5072
O: 0.8445 0.4968 0.0043
O: 0.8574 0.0675 0.0024
O: 0.9225 0.2065 0.4928
O: 0.9325 0.8574 0.9976
O: 0.9968 0.3445 0.0043



Diffraction record for Y2W2O9. The powder XRD pattern is simulated, not measured: it uses DFT lattice parameters and positions (GGA+U) and Cu Ka.
Peak positions follow from Bragg's law for the DFT cell and can differ from measured ones.

Peak list (10 most intense, 10 to 80 degrees two-theta, in order of rising 2θ)
d [Å]  2θ/deg  intensity
3.368  26.46  39
3.267  27.30  100
3.074  29.05  45
2.953  30.27  29
2.876  31.10  35
2.652  33.80  17
2.618  34.25  21
1.973  46.00  32
1.800  50.72  16
1.576  58.55  23

Atomic structure:
abc: 9.8180 9.8180 7.1994
angles: 90.00 90.00 106.05
Sites, in units of the cell vectors:
Y: 0.1212 0.4118 0.4996
Y: 0.2246 0.7754 0.2500
Y: 0.2248 0.7752 0.7500
Y: 0.4118 0.1212 0.5004
Y: 0.5882 0.8788 0.0004
Y: 0.7752 0.2248 0.2500
Y: 0.7754 0.2246 0.7500
Y: 0.8788 0.5882 0.9996
W: 0.0482 0.0482 0.5000
W: 0.1484 0.3934 0.9998
W: 0.3934 0.1484 0.0002
W: 0.4999 0.5001 0.2500
W: 0.5001 0.4999 0.7500
W: 0.6066 0.8516 0.5002
W: 0.8516 0.6066 0.4998
W: 0.9518 0.9518 0.0000
O: 0.0002 0.9998 0.2500
O: 0.9998 0.0002 0.7500
O: 0.0321 0.3294 0.7947
O: 0.0320 0.3295 0.2048
O: 0.0878 0.8474 0.9997
O: 0.1109 0.5762 0.9996
O: 0.1526 0.9122 0.5003
O: 0.2028 0.2028 0.5000
O: 0.2064 0.6335 0.4999
O: 0.2247 0.2247 0.0000
O: 0.3033 0.4763 0.1903
O: 0.3035 0.4762 0.8097
O: 0.3294 0.0321 0.2053
O: 0.3295 0.0320 0.7952
O: 0.3665 0.7936 0.0001
O: 0.4238 0.8891 0.5004
O: 0.4408 0.4408 0.5000
O: 0.4762 0.3035 0.1903
O: 0.4763 0.3033 0.8097
O: 0.5237 0.6967 0.3097
O: 0.5238 0.6965 0.6903
O: 0.5592 0.5592 0.0000
O: 0.5762 0.1109 0.0004
O: 0.6335 0.2064 0.5001
O: 0.6705 0.9680 0.2952
O: 0.6706 0.9679 0.7053
O: 0.6965 0.5238 0.3097
O: 0.6967 0.5237 0.6903
O: 0.7753 0.7753 0.5000
O: 0.7936 0.3665 0.9999
O: 0.7972 0.7972 0.0000
O: 0.8474 0.0878 0.0003
O: 0.8891 0.4238 0.4996
O: 0.9122 0.1526 0.4997
O: 0.9680 0.6705 0.7048
O: 0.9679 0.6706 0.2947